1.
Li2MnVP2O8F2: calculated PXRD pattern (Cu Kα), based on the PBE+U geometry in the Materials Project.
Peak positions follow from Bragg's law for the DFT cell and can differ from measured ones.

Atomic structure:
```
data_Li2MnVP2O8F2
_chemical_formula_sum 'Li4 Mn2 V2 P4 O16 F4'
_symmetry_space_group_name_H-M 'P 1'
_symmetry_Int_Tables_number 1
_cell_length_a 5.352
_cell_length_b 7.479
_cell_length_c 10.430
_cell_angle_alpha 105.74
_cell_angle_beta 97.53
_cell_angle_gamma 108.95
loop_
_symmetry_equiv_pos_as_xyz
'x,y,z'
loop_
_atom_site_label
_atom_site_type_symbol
_atom_site_fract_x
_atom_site_fract_y
_atom_site_fract_z
_atom_site_occupancy
Li1 Li 0.000 0.000 0.000 1
Li2 Li 0.002 0.003 0.501 1
Li3 Li 0.142 0.378 0.418 1
Li4 Li 0.146 0.377 0.920 1
Mn1 Mn 0.072 0.690 0.209 1
Mn2 Mn 0.573 0.189 0.959 1
V1 V 0.070 0.688 0.711 1
V2 V 0.573 0.192 0.462 1
P1 P 0.450 0.425 0.739 1
P2 P 0.454 0.430 0.238 1
P3 P 0.691 0.951 0.681 1
P4 P 0.692 0.952 0.183 1
O1 O 0.254 0.530 0.783 1
O2 O 0.254 0.532 0.282 1
O3 O 0.352 0.304 0.581 1
O4 O 0.355 0.304 0.080 1
O5 O 0.398 0.802 0.642 1
O6 O 0.398 0.803 0.144 1
O7 O 0.406 0.271 0.817 1
O8 O 0.416 0.282 0.320 1
O9 O 0.732 0.101 0.100 1
O10 O 0.734 0.103 0.603 1
O11 O 0.744 0.573 0.778 1
O12 O 0.749 0.578 0.277 1
O13 O 0.790 0.072 0.840 1
O14 O 0.790 0.078 0.340 1
O15 O 0.888 0.846 0.638 1
O16 O 0.893 0.850 0.140 1
F1 F 0.222 0.914 0.891 1
F2 F 0.244 0.937 0.400 1
F3 F 0.909 0.453 0.529 1
F4 F 0.914 0.454 0.020 1
```

Most intense lines, 2θ from 10° to 90°, by angle:
2θ/deg, intensity, (hkl)
17.93, 34, 1 -1 0
18.21, 42, 0 0 2
18.62, 64, 0 1 -2
26.02, 98, 0 1 2
26.29, 100, 1 1 0
26.50, 28, 1 1 -2
29.12, 99, 1 -2 2
36.45, 31, -2 1 2


2.
Li2MnVP2O8F2: calculated PXRD pattern (Cu Kα), based on the PBE+U geometry in the Materials Project.
Peak positions follow from Bragg's law for the DFT cell and can differ from measured ones.

Atomic structure:
```
data_Li2MnVP2O8F2
_chemical_formula_sum 'Li6 Mn3 V3 P6 O24 F6'
_symmetry_space_group_name_H-M 'P 1'
_symmetry_Int_Tables_number 1
_cell_length_a 5.239
_cell_length_b 7.501
_cell_length_c 14.748
_cell_angle_alpha 93.31
_cell_angle_beta 94.22
_cell_angle_gamma 105.27
loop_
_symmetry_equiv_pos_as_xyz
'x,y,z'
loop_
_atom_site_label
_atom_site_type_symbol
_atom_site_fract_x
_atom_site_fract_y
_atom_site_fract_z
_atom_site_occupancy
Li1 Li 0.000 0.000 0.000 1
Li2 Li 0.118 0.665 0.287 1
Li3 Li 0.332 0.334 0.336 1
Li4 Li 0.455 0.994 0.619 1
Li5 Li 0.664 0.666 0.667 1
Li6 Li 0.786 0.329 0.953 1
Mn1 Mn 0.392 0.664 0.477 1
Mn2 Mn 0.395 0.667 0.976 1
Mn3 Mn 0.722 0.995 0.311 1
V1 V 0.060 0.332 0.144 1
V2 V 0.061 0.331 0.644 1
V3 V 0.730 0.001 0.810 1
P1 P 0.132 0.722 0.770 1
P2 P 0.324 0.277 0.851 1
P3 P 0.465 0.054 0.104 1
P4 P 0.654 0.610 0.182 1
P5 P 0.796 0.387 0.437 1
P6 P 0.989 0.940 0.517 1
O1 O 0.043 0.188 0.884 1
O2 O 0.077 0.475 0.404 1
O3 O 0.142 0.110 0.582 1
O4 O 0.152 0.672 0.869 1
O5 O 0.164 0.803 0.532 1
O6 O 0.292 0.192 0.092 1
O7 O 0.302 0.326 0.752 1
O8 O 0.309 0.887 0.036 1
O9 O 0.376 0.521 0.215 1
O10 O 0.413 0.813 0.738 1
O11 O 0.478 0.446 0.917 1
O12 O 0.483 0.003 0.203 1
O13 O 0.499 0.141 0.864 1
O14 O 0.619 0.523 0.424 1
O15 O 0.638 0.662 0.083 1
O16 O 0.643 0.218 0.370 1
O17 O 0.708 0.851 0.551 1
O18 O 0.744 0.142 0.071 1
O19 O 0.811 0.778 0.250 1
O20 O 0.816 0.337 0.536 1
O21 O 0.827 0.472 0.194 1
O22 O 0.957 0.859 0.757 1
O23 O 0.968 0.991 0.418 1
O24 O 0.978 0.552 0.705 1
F1 F 0.050 0.189 0.252 1
F2 F 0.070 0.474 0.035 1
F3 F 0.370 0.506 0.594 1
F4 F 0.399 0.815 0.363 1
F5 F 0.716 0.855 0.919 1
F6 F 0.751 0.150 0.698 1
```

Most intense lines, 2θ from 10° to 90°, by angle:
2θ/deg, intensity, (hkl)
17.93, 35, 0 1 2
18.11, 58, 1 0 -1
18.59, 64, 1 -1 0
25.54, 29, 1 1 1
25.85, 100, 1 1 -2
26.38, 98, 0 1 -4
29.13, 99, -1 2 2
36.38, 32, 1 1 4


3.
Li2MnVP2O8F2: calculated PXRD pattern (Cu Kα), based on the PBE+U geometry in the Materials Project.
Peak positions follow from Bragg's law for the DFT cell and can differ from measured ones.

Atomic structure:
```
data_Li2MnVP2O8F2
_chemical_formula_sum 'Li4 Mn2 V2 P4 O16 F4'
_symmetry_space_group_name_H-M 'P 1'
_symmetry_Int_Tables_number 1
_cell_length_a 6.965
_cell_length_b 7.611
_cell_length_c 7.839
_cell_angle_alpha 118.26
_cell_angle_beta 90.26
_cell_angle_gamma 91.41
loop_
_symmetry_equiv_pos_as_xyz
'x,y,z'
loop_
_atom_site_label
_atom_site_type_symbol
_atom_site_fract_x
_atom_site_fract_y
_atom_site_fract_z
_atom_site_occupancy
Li1 Li 0.000 0.000 0.000 1
Li2 Li 0.196 0.343 0.967 1
Li3 Li 0.496 0.500 0.503 1
Li4 Li 0.696 0.839 0.464 1
Mn1 Mn 0.098 0.171 0.484 1
Mn2 Mn 0.348 0.920 0.734 1
V1 V 0.598 0.669 0.983 1
V2 V 0.845 0.420 0.232 1
P1 P 0.246 0.703 0.278 1
P2 P 0.444 0.140 0.191 1
P3 P 0.747 0.197 0.773 1
P4 P 0.951 0.641 0.689 1
O1 O 0.061 0.456 0.655 1
O2 O 0.086 0.817 0.714 1
O3 O 0.110 0.528 0.253 1
O4 O 0.134 0.887 0.312 1
O5 O 0.299 0.090 0.020 1
O6 O 0.337 0.233 0.387 1
O7 O 0.352 0.611 0.083 1
O8 O 0.393 0.749 0.449 1
O9 O 0.559 0.958 0.159 1
O10 O 0.578 0.316 0.215 1
O11 O 0.612 0.020 0.749 1
O12 O 0.635 0.381 0.807 1
O13 O 0.803 0.595 0.520 1
O14 O 0.846 0.731 0.885 1
O15 O 0.854 0.106 0.578 1
O16 O 0.892 0.246 0.944 1
F1 F 0.248 0.165 0.713 1
F2 F 0.454 0.678 0.763 1
F3 F 0.744 0.652 0.203 1
F4 F 0.943 0.189 0.256 1
```

Most intense lines, 2θ from 10° to 90°, by angle:
2θ/deg, intensity, (hkl)
17.93, 35, 1 0 -1
18.26, 40, 1 0 1
18.66, 62, 1 1 0
26.13, 97, 1 -1 2
26.42, 99, 1 -2 1
29.13, 100, 2 1 -1
34.74, 35, 0 1 -3
36.50, 31, -1 1 2


Repeat the second record exactly.
Li2MnVP2O8F2: calculated PXRD pattern (Cu Kα), based on the PBE+U geometry in the Materials Project.
Peak positions follow from Bragg's law for the DFT cell and can differ from measured ones.

Atomic structure:
```
data_Li2MnVP2O8F2
_chemical_formula_sum 'Li6 Mn3 V3 P6 O24 F6'
_symmetry_space_group_name_H-M 'P 1'
_symmetry_Int_Tables_number 1
_cell_length_a 5.239
_cell_length_b 7.501
_cell_length_c 14.748
_cell_angle_alpha 93.31
_cell_angle_beta 94.22
_cell_angle_gamma 105.27
loop_
_symmetry_equiv_pos_as_xyz
'x,y,z'
loop_
_atom_site_label
_atom_site_type_symbol
_atom_site_fract_x
_atom_site_fract_y
_atom_site_fract_z
_atom_site_occupancy
Li1 Li 0.000 0.000 0.000 1
Li2 Li 0.118 0.665 0.287 1
Li3 Li 0.332 0.334 0.336 1
Li4 Li 0.455 0.994 0.619 1
Li5 Li 0.664 0.666 0.667 1
Li6 Li 0.786 0.329 0.953 1
Mn1 Mn 0.392 0.664 0.477 1
Mn2 Mn 0.395 0.667 0.976 1
Mn3 Mn 0.722 0.995 0.311 1
V1 V 0.060 0.332 0.144 1
V2 V 0.061 0.331 0.644 1
V3 V 0.730 0.001 0.810 1
P1 P 0.132 0.722 0.770 1
P2 P 0.324 0.277 0.851 1
P3 P 0.465 0.054 0.104 1
P4 P 0.654 0.610 0.182 1
P5 P 0.796 0.387 0.437 1
P6 P 0.989 0.940 0.517 1
O1 O 0.043 0.188 0.884 1
O2 O 0.077 0.475 0.404 1
O3 O 0.142 0.110 0.582 1
O4 O 0.152 0.672 0.869 1
O5 O 0.164 0.803 0.532 1
O6 O 0.292 0.192 0.092 1
O7 O 0.302 0.326 0.752 1
O8 O 0.309 0.887 0.036 1
O9 O 0.376 0.521 0.215 1
O10 O 0.413 0.813 0.738 1
O11 O 0.478 0.446 0.917 1
O12 O 0.483 0.003 0.203 1
O13 O 0.499 0.141 0.864 1
O14 O 0.619 0.523 0.424 1
O15 O 0.638 0.662 0.083 1
O16 O 0.643 0.218 0.370 1
O17 O 0.708 0.851 0.551 1
O18 O 0.744 0.142 0.071 1
O19 O 0.811 0.778 0.250 1
O20 O 0.816 0.337 0.536 1
O21 O 0.827 0.472 0.194 1
O22 O 0.957 0.859 0.757 1
O23 O 0.968 0.991 0.418 1
O24 O 0.978 0.552 0.705 1
F1 F 0.050 0.189 0.252 1
F2 F 0.070 0.474 0.035 1
F3 F 0.370 0.506 0.594 1
F4 F 0.399 0.815 0.363 1
F5 F 0.716 0.855 0.919 1
F6 F 0.751 0.150 0.698 1
```

Most intense lines, 2θ from 10° to 90°, by angle:
2θ/deg, intensity, (hkl)
17.93, 35, 0 1 2
18.11, 58, 1 0 -1
18.59, 64, 1 -1 0
25.54, 29, 1 1 1
25.85, 100, 1 1 -2
26.38, 98, 0 1 -4
29.13, 99, -1 2 2
36.38, 32, 1 1 4